The following is a computed X-ray powder pattern of Ba6Na2Ru. It was derived from a PBE-relaxed structure, using Cu Ka.

Crystal structure
```
Ba6Na2Ru
1.0
8.259 0.000 0.000
0.000 11.531 0.000
-7.050 0.000 10.061
Ba Na Ru
12 4 2
Cartesian
-1.974 1.576 4.809
-5.499 4.190 9.840
-4.343 8.379 9.511
-0.818 8.918 4.481
1.063 0.384 2.064
-2.462 5.381 7.094
3.670 6.150 2.967
0.145 11.147 7.997
2.026 2.613 5.579
5.551 3.153 0.549
6.708 7.341 0.221
3.182 9.956 5.251
-3.892 0.752 8.397
-0.367 5.014 3.367
1.575 6.518 6.694
5.101 10.779 1.663
0.604 0.000 5.030
4.129 5.766 0.000
```

Top 10 peaks for 2θ = 10–90°, in order of rising 2θ:
2θ 11.7, rel. 76; 2θ 13.2, rel. 67; 2θ 17.6, rel. 36; 2θ 23.0, rel. 54; 2θ 23.5, rel. 40; 2θ 25.6, rel. 53; 2θ 26.4, rel. 35; 2θ 26.7, rel. 100; 2θ 27.7, rel. 59; 2θ 32.4, rel. 38

***

The following is a computed X-ray powder pattern of BaNaRu. It was derived from a PBE-relaxed structure, using Cu Ka.

Crystal structure
```
BaNaRu
1.0
2.055 1.187 15.175
-2.055 1.187 15.175
0.000 -2.373 15.175
Ba Na Ru
2 2 2
Cartesian
0.000 0.000 0.000
0.000 0.000 9.983
0.000 0.000 21.621
0.000 0.000 33.918
0.000 0.000 13.033
0.000 0.000 27.637
```

Top 10 peaks for 2θ = 10–90°, in order of rising 2θ:
2θ 26.2, rel. 89; 2θ 26.9, rel. 99; 2θ 29.4, rel. 54; 2θ 29.6, rel. 70; 2θ 31.9, rel. 96; 2θ 36.0, rel. 99; 2θ 44.1, rel. 100; 2θ 44.5, rel. 61; 2θ 53.9, rel. 57; 2θ 57.8, rel. 44

***

The following is a computed X-ray powder pattern of Ba3Na2US6. It was derived from a PBE-relaxed structure, using Cu Ka.

Crystal structure
```
Ba3Na2US6
1.0
7.438 0.000 0.000
-3.719 6.441 0.000
0.000 0.000 8.017
Ba Na U S
3 2 1 6
Cartesian
0.000 0.000 0.000
0.000 4.294 4.694
3.719 2.147 3.324
0.000 4.294 0.884
3.719 2.147 7.134
0.000 0.000 4.009
0.000 2.103 2.410
-1.898 5.390 2.410
1.821 1.051 5.607
1.898 5.390 2.410
5.617 1.051 5.607
3.719 4.339 5.607
```

Top 10 peaks for 2θ = 10–90°, in order of rising 2θ:
2θ 11.0, rel. 65; 2θ 13.7, rel. 57; 2θ 23.9, rel. 100; 2θ 26.2, rel. 49; 2θ 26.4, rel. 29; 2θ 32.9, rel. 74; 2θ 35.8, rel. 50; 2θ 43.5, rel. 27; 2θ 48.1, rel. 25; 2θ 49.0, rel. 29

***

The following is a computed X-ray powder pattern of Ba3NaSb6. It was derived from a PBE-relaxed structure, using Cu Ka.

Crystal structure
```
Ba3NaSb6
1.0
6.929 4.001 4.397
-6.929 4.001 4.397
0.000 -8.001 4.397
Ba Na Sb
6 2 12
Cartesian
-3.917 1.217 5.497
-3.012 -2.783 7.695
0.904 -4.001 5.497
-0.904 4.001 7.695
3.012 2.783 5.497
3.917 -1.217 7.695
0.000 0.000 0.000
0.000 0.000 6.596
-0.505 -2.637 2.136
-2.031 1.756 2.136
-2.031 -1.756 4.460
2.536 0.881 2.136
-0.505 2.637 4.460
2.536 -0.881 4.460
-2.536 0.881 8.732
0.505 -2.637 8.732
-2.536 -0.881 11.056
2.031 1.756 8.732
2.031 -1.756 11.056
0.505 2.637 11.056
```

Top 10 peaks for 2θ = 10–90°, in order of rising 2θ:
2θ 12.8, rel. 18; 2θ 27.6, rel. 100; 2θ 28.1, rel. 23; 2θ 30.1, rel. 77; 2θ 30.9, rel. 58; 2θ 39.5, rel. 20; 2θ 40.1, rel. 38; 2θ 44.2, rel. 29; 2θ 55.0, rel. 18; 2θ 57.9, rel. 26

***

The following is a computed X-ray powder pattern of Ba3Na4Sb4. It was derived from a PBE-relaxed structure, using Cu Ka.

Crystal structure
```
Ba3Na4Sb4
1.0
-2.620 4.115 8.642
2.620 -4.115 8.642
2.620 4.115 -8.642
Ba Na Sb
3 4 4
Cartesian
0.000 0.000 0.000
2.620 0.000 6.436
0.000 4.115 2.206
2.620 1.628 -3.027
2.620 1.628 3.027
0.000 2.487 5.615
0.000 2.487 11.669
0.000 0.000 3.649
2.620 2.657 0.000
0.000 1.458 8.642
0.000 0.000 13.635
```

Top 10 peaks for 2θ = 10–90°, in order of rising 2θ:
2θ 21.6, rel. 20; 2θ 22.9, rel. 28; 2θ 28.0, rel. 100; 2θ 28.9, rel. 95; 2θ 34.2, rel. 35; 2θ 36.3, rel. 15; 2θ 38.1, rel. 26; 2θ 42.0, rel. 20; 2θ 55.3, rel. 18; 2θ 58.1, rel. 14

***

The following is a computed X-ray powder pattern of Ba2NaSb2. It was derived from a PBE-relaxed structure, using Cu Ka.

Crystal structure
```
Ba2NaSb2
1.0
6.665 -2.521 0.000
6.665 2.521 0.000
-5.902 0.000 11.338
Ba Na Sb
4 2 4
Cartesian
-1.395 0.000 4.626
-0.325 0.000 9.389
7.754 0.000 1.948
8.824 0.000 6.712
3.734 0.000 1.456
3.694 0.000 9.881
-4.669 0.000 10.550
2.207 0.000 4.180
5.222 0.000 7.157
12.098 0.000 0.788
```

Top 10 peaks for 2θ = 10–90°, in order of rising 2θ:
2θ 15.9, rel. 18; 2θ 26.8, rel. 32; 2θ 27.0, rel. 100; 2θ 27.3, rel. 34; 2θ 27.6, rel. 18; 2θ 27.9, rel. 16; 2θ 28.7, rel. 53; 2θ 31.6, rel. 17; 2θ 34.2, rel. 46; 2θ 35.6, rel. 36

***

The following is a computed X-ray powder pattern of Ba2Na2Se. It was derived from a PBE-relaxed structure, using Cu Ka.

Crystal structure
```
Ba2Na2Se
1.0
8.220 0.000 0.000
0.000 8.220 0.000
0.000 0.000 5.664
Ba Na Se
4 4 2
Cartesian
1.459 2.651 0.000
2.651 6.761 0.000
5.569 1.459 0.000
6.761 5.569 0.000
1.154 5.264 2.832
2.956 1.154 2.832
5.264 7.066 2.832
7.066 2.956 2.832
0.000 0.000 2.832
4.110 4.110 2.832
```

Top 10 peaks for 2θ = 10–90°, in order of rising 2θ:
2θ 15.6, rel. 19; 2θ 21.9, rel. 25; 2θ 24.2, rel. 35; 2θ 26.8, rel. 65; 2θ 29.0, rel. 100; 2θ 31.6, rel. 30; 2θ 34.5, rel. 30; 2θ 47.5, rel. 24; 2θ 48.4, rel. 28; 2θ 49.7, rel. 19

***

The following is a computed X-ray powder pattern of BaNa3U4Se12. It was derived from a PBE-relaxed structure, using Cu Ka.

Crystal structure
```
BaNa3U4Se12
1.0
-5.297 5.297 5.297
5.297 -5.297 5.297
5.297 5.297 -5.297
Ba Na U Se
1 3 4 12
Cartesian
0.000 0.000 0.000
5.297 0.000 0.000
0.000 5.297 0.000
0.000 0.000 5.297
2.649 2.649 -2.649
2.649 -2.649 2.649
-2.649 2.649 2.649
2.649 2.649 2.649
5.297 3.290 -2.214
3.083 0.000 2.007
7.511 0.000 2.007
2.007 3.083 0.000
3.290 -2.214 5.297
0.000 2.007 3.083
5.297 3.290 2.214
2.007 7.511 0.000
3.290 2.214 5.297
-2.214 5.297 3.290
2.214 5.297 3.290
0.000 2.007 7.511
```

Top 10 peaks for 2θ = 10–90°, in order of rising 2θ:
2θ 16.7, rel. 100; 2θ 23.8, rel. 72; 2θ 26.6, rel. 27; 2θ 31.6, rel. 29; 2θ 33.8, rel. 60; 2θ 38.0, rel. 61; 2θ 41.8, rel. 73; 2θ 48.6, rel. 29; 2θ 66.0, rel. 30; 2θ 76.3, rel. 34